Structure and computed powder XRD pattern of PrAl6Fe6 (DFT lattice parameters and positions (PBE); Cu Kα, 1.54184 Å).
Kinematic intensities with the Lorentz-polarization factor, no thermal factor.

Crystal structure
a = 6.637 Å, b = 6.637 Å, c = 6.637 Å
α = 135.55°, β = 98.78°, γ = 97.67°
Positions (direct):
Pr  0.000  0.000  0.000
Al  0.201  0.701  0.500
Al  0.339  0.000  0.339
Al  0.348  0.348  0.000
Al  0.652  0.652  0.000
Al  0.661  0.000  0.661
Al  0.799  0.299  0.500
Fe  0.000  0.000  0.500
Fe  0.000  0.500  0.000
Fe  0.241  0.500  0.741
Fe  0.500  0.000  0.000
Fe  0.500  0.500  0.500
Fe  0.759  0.500  0.259

Most intense lines, 2θ from 10° to 80°, in order of rising 2θ:
| d (Å) | I/Imax |
| --- | --- |
| 6.144 | 31.4 |
| 3.076 | 38.5 |
| 3.066 | 41.1 |
| 2.184 | 30.6 |
| 2.176 | 100.0 |
| 2.170 | 51.5 |
| 2.160 | 34.4 |
| 1.944 | 26.1 |
| 1.536 | 20.3 |
| 1.533 | 21.1 |

***

Structure and computed powder XRD pattern of Pr3AlFeS7 (DFT lattice parameters and positions (PBE); Cu Kα, 1.54184 Å).
Kinematic intensities with the Lorentz-polarization factor, no thermal factor.

Crystal structure
a = 10.117 Å, b = 10.117 Å, c = 5.994 Å
α = 90.00°, β = 90.00°, γ = 120.00°
Positions (direct):
Pr  0.141  0.372  0.000
Pr  0.231  0.859  0.000
Pr  0.372  0.231  0.500
Pr  0.628  0.769  0.000
Pr  0.769  0.141  0.500
Pr  0.859  0.628  0.500
Al  0.333  0.667  0.420
Al  0.667  0.333  0.920
Fe  0.000  0.000  0.279
Fe  0.000  0.000  0.779
S  0.089  0.232  0.543
S  0.099  0.580  0.274
S  0.143  0.911  0.543
S  0.232  0.143  0.043
S  0.333  0.667  0.790
S  0.420  0.518  0.274
S  0.482  0.901  0.274
S  0.518  0.099  0.774
S  0.580  0.482  0.774
S  0.667  0.333  0.290
S  0.768  0.857  0.543
S  0.857  0.089  0.043
S  0.901  0.420  0.774
S  0.911  0.768  0.043

Most intense lines, 2θ from 10° to 80°, in order of rising 2θ:
| d (Å) | I/Imax |
| --- | --- |
| 4.947 | 42.8 |
| 3.866 | 31.9 |
| 3.537 | 100.0 |
| 3.312 | 40.3 |
| 2.626 | 39.9 |
| 2.529 | 37.3 |
| 2.474 | 46.4 |
| 2.252 | 44.4 |
| 2.222 | 32.4 |
| 1.822 | 28.6 |

***

Structure and computed powder XRD pattern of PuAlFe (DFT lattice parameters and positions (PBE); Cu Kα, 1.54184 Å).
Kinematic intensities with the Lorentz-polarization factor, no thermal factor.

Crystal structure
a = 8.546 Å, b = 5.244 Å, c = 5.244 Å
α = 62.61°, β = 90.00°, γ = 90.00°
Positions (direct):
Pu  0.171  0.000  0.000
Pu  0.294  0.324  0.324
Pu  0.706  0.324  0.324
Pu  0.829  0.000  0.000
Al  0.244  0.669  0.669
Al  0.500  0.314  0.825
Al  0.500  0.825  0.314
Al  0.756  0.669  0.669
Fe  0.000  0.504  0.504
Fe  0.000  0.509  0.999
Fe  0.000  0.999  0.509
Fe  0.500  0.822  0.822

Most intense lines, 2θ from 10° to 80°, in order of rising 2θ:
| d (Å) | I/Imax |
| --- | --- |
| 4.656 | 53.5 |
| 4.273 | 27.5 |
| 3.148 | 44.3 |
| 2.724 | 47.5 |
| 2.619 | 73.5 |
| 2.430 | 100.0 |
| 2.404 | 46.8 |
| 2.297 | 39.2 |
| 2.246 | 42.8 |
| 2.233 | 84.2 |

***

Structure and computed powder XRD pattern of Al4Fe5Rh (DFT lattice parameters and positions (PBE); Cu Kα, 1.54184 Å).
Kinematic intensities with the Lorentz-polarization factor, no thermal factor.

Crystal structure
a = 2.854 Å, b = 2.854 Å, c = 15.048 Å
α = 90.00°, β = 90.00°, γ = 90.00°
Positions (direct):
Al  0.000  0.000  0.100
Al  0.000  0.000  0.287
Al  0.000  0.000  0.713
Al  0.000  0.000  0.900
Fe  0.500  0.500  0.000
Fe  0.500  0.500  0.194
Fe  0.500  0.500  0.392
Fe  0.500  0.500  0.608
Fe  0.500  0.500  0.806
Rh  0.000  0.000  0.500

Most intense lines, 2θ from 10° to 80°, in order of rising 2θ:
| d (Å) | I/Imax |
| --- | --- |
| 7.524 | 11.3 |
| 5.016 | 6.4 |
| 2.804 | 6.7 |
| 2.480 | 6.6 |
| 2.274 | 8.2 |
| 2.071 | 100.0 |
| 2.018 | 47.9 |
| 1.505 | 7.5 |
| 1.427 | 14.6 |
| 1.206 | 13.8 |